# 1
Structure and theoretical powder X-ray diffraction pattern of YSiRu2C (a cell relaxed with PBE; Cu Kα, 1.54184 Å).

Main lines, by angle (10° ≤ 2θ ≤ 90°):
index, Position (°2θ), I (rel.)
0 2 2, 29.66, 28
1 3 0, 33.71, 100
0 4 1, 34.61, 38
1 1 2, 35.31, 96
1 3 1, 36.04, 28
0 2 3, 41.12, 58
1 1 3, 45.55, 35
2 0 0, 47.68, 35
1 5 3, 61.99, 29
2 2 3, 64.75, 30

Structure:
Cell: 3.8144 11.1212 7.1648 Å, 90.00 90.00 90.00°
Space group Cmcm (No. 63)
One atom of each set of equivalent atoms:
Y1 0.0000 0.0462 0.2500 [4 per cell]
Si1 0.0000 0.2321 0.7500 [4 per cell]
Ru1 0.0000 0.3360 0.0570 [8 per cell]
C1 0.0000 0.5000 0.0000 [4 per cell]

***

# 2
Structure and theoretical powder X-ray diffraction pattern of Ca2SiO4 (a cell relaxed with PBE; Cu Kα, 1.54184 Å).

Main lines, by angle (10° ≤ 2θ ≤ 90°):
index, Position (°2θ), I (rel.)
1 1 0, 17.91, 26
1 3 -1, 30.89, 93
1 3 1, 31.33, 69
0 0 2, 32.10, 100
2 0 0, 33.40, 44
0 6 0, 42.03, 31
2 4 1, 47.29, 21
2 0 2, 47.63, 24
1 7 0, 52.51, 26
1 3 -3, 56.21, 24

Structure:
Cell: 5.3669 12.8976 5.5766 Å, 90.00 91.42 90.00°
Space group Cc (No. 9)
One atom of each set of equivalent atoms:
Ca1 0.0000 0.0655 0.0000 [4 per cell]
Ca2 0.4639 0.2647 0.0056 [4 per cell]
Si1 0.4416 0.1306 0.5067 [4 per cell]
O1 0.2062 0.0868 0.6598 [4 per cell]
O2 0.2201 0.4124 0.0822 [4 per cell]
O3 0.3693 0.1248 0.2204 [4 per cell]
O4 0.4275 0.2589 0.5733 [4 per cell]

***

# 3
Structure and theoretical powder X-ray diffraction pattern of Cu7As6Pb2O24 (a cell relaxed with PBE; Cu Kα, 1.54184 Å).

Main lines, by angle (10° ≤ 2θ ≤ 90°):
index, Position (°2θ), I (rel.)
1 -2 0, 26.26, 74
-1 2 1, 27.40, 44
1 2 0, 27.80, 84
-1 1 3, 30.42, 44
1 -1 3, 30.65, 100
1 1 -3, 30.92, 69
0 2 -3, 31.38, 42
0 1 4, 33.19, 45
2 0 0, 34.25, 72
1 -3 0, 35.19, 44

Structure:
Cell: 5.2453 8.5050 11.4310 Å, 90.57 90.86 93.26°
Space group P-1 (No. 2)
One atom of each set of equivalent atoms:
Cu1 0.0000 0.0000 0.0000 [1 per cell]
Cu2 0.0000 0.5000 0.5000 [1 per cell]
Cu3 0.4675 0.4204 0.3194 [2 per cell]
Cu4 0.4815 0.7829 0.1659 [2 per cell]
Cu5 0.5000 0.5000 0.0000 [1 per cell]
As1 0.0154 0.4202 0.7794 [2 per cell]
As2 0.4656 0.7702 0.4480 [2 per cell]
As3 0.4758 0.8403 0.8854 [2 per cell]
Pb1 0.0014 0.9612 0.6684 [2 per cell]
O1 0.1254 0.7701 0.2252 [2 per cell]
O2 0.1728 0.4804 0.6496 [2 per cell]
O3 0.2043 0.1033 0.1233 [2 per cell]
O4 0.2102 0.4503 0.1847 [2 per cell]
O5 0.2304 0.8922 0.4861 [2 per cell]
O6 0.2686 0.4022 0.8771 [2 per cell]
O7 0.3026 0.0095 0.8988 [2 per cell]
O8 0.3098 0.2519 0.4441 [2 per cell]
O9 0.3142 0.5818 0.4183 [2 per cell]
O10 0.3730 0.7552 0.7559 [2 per cell]
O11 0.3837 0.7176 0.0018 [2 per cell]
O12 0.3885 0.1600 0.6786 [2 per cell]

***

# 4
Structure and theoretical powder X-ray diffraction pattern of BaO6 (a cell relaxed with PBE; Cu Kα, 1.54184 Å).

Main lines, by angle (10° ≤ 2θ ≤ 90°):
index, Position (°2θ), I (rel.)
1 1 2, 19.99, 100
0 0 4, 20.10, 27
0 2 4, 29.83, 17
2 0 4, 33.84, 12
2 2 0, 34.91, 21
1 1 6, 35.12, 35
2 1 4, 35.63, 16
1 3 2, 37.18, 28
2 2 4, 40.61, 17
3 1 2, 43.71, 13

Structure:
Cell: 6.6210 8.1532 17.6692 Å, 90.00 90.00 90.00°
Space group Pbca (No. 61)
One atom of each set of equivalent atoms:
Ba1 0.0387 0.2326 0.1286 [8 per cell]
O1 0.1292 0.6720 0.5231 [8 per cell]
O2 0.1438 0.6755 0.2270 [8 per cell]
O3 0.1772 0.0334 0.3808 [8 per cell]
O4 0.1823 0.5242 0.2052 [8 per cell]
O5 0.1825 0.0734 0.8645 [8 per cell]
O6 0.2165 0.5360 0.5430 [8 per cell]

***

# 5
Structure and theoretical powder X-ray diffraction pattern of Ti7Al2O15 (a cell relaxed with PBE; Cu Kα, 1.54184 Å).

Main lines, by angle (10° ≤ 2θ ≤ 90°):
index, Position (°2θ), I (rel.)
0 0 3, 28.36, 85
2 0 -3, 28.64, 48
6 0 0, 29.78, 100
3 1 -1, 34.22, 44
3 1 1, 35.47, 58
3 1 -2, 37.53, 46
3 1 -4, 49.81, 32
9 1 -2, 56.38, 46
0 2 0, 62.09, 32
7 1 4, 65.39, 43

Structure:
Cell: 18.2001 2.9897 9.5460 Å, 90.00 98.46 90.00°
Space group C2/m (No. 12)
One atom of each set of equivalent atoms:
Ti1 0.0000 0.0000 0.0000 [2 per cell]
Ti2 0.0095 0.5000 0.3512 [4 per cell]
Ti3 0.1780 0.5000 0.0464 [4 per cell]
Ti4 0.1892 0.0000 0.3837 [4 per cell]
Al1 0.1578 0.0000 0.7231 [4 per cell]
O1 0.0000 0.0000 0.5000 [2 per cell]
O2 0.0083 0.0000 0.2140 [4 per cell]
O3 0.0743 0.5000 0.0085 [4 per cell]
O4 0.1073 0.5000 0.6945 [4 per cell]
O5 0.1201 0.5000 0.3940 [4 per cell]
O6 0.1868 0.0000 0.1847 [4 per cell]
O7 0.1995 0.0000 0.9074 [4 per cell]
O8 0.2267 0.0000 0.6036 [4 per cell]

***

# 6
Structure and theoretical powder X-ray diffraction pattern of CaB2H4 (a cell relaxed with PBE; Cu Kα, 1.54184 Å).

Main lines, by angle (10° ≤ 2θ ≤ 90°):
index, Position (°2θ), I (rel.)
1 1 1, 13.59, 100
1 1 3, 23.42, 14
2 2 0, 23.80, 21
0 0 4, 26.98, 11
2 2 2, 27.37, 58
0 4 0, 27.69, 11
3 1 1, 30.70, 27
0 4 4, 39.05, 11
2 2 6, 47.90, 14
2 6 2, 48.78, 13

Structure:
Cell: 9.2041 12.8858 13.2197 Å, 90.00 90.00 90.00°
Space group Fddd (No. 70, origin choice 2)
One atom of each set of equivalent atoms:
Ca1 0.0000 0.0000 0.0000 [16 per cell]
B1 0.0985 0.3304 0.4174 [32 per cell]
H1 0.1025 0.0140 0.8468 [32 per cell]
H2 0.1056 0.3426 0.5094 [32 per cell]

***

# 7
Structure and theoretical powder X-ray diffraction pattern of Si7CN10 (a cell relaxed with PBE; Cu Kα, 1.54184 Å).

Main lines, by angle (10° ≤ 2θ ≤ 90°):
index, Position (°2θ), I (rel.)
0 1 0, 12.72, 72
1 0 0, 13.02, 100
1 1 0, 18.24, 48
1 1 -1, 18.71, 52
0 2 0, 25.60, 32
2 1 -1, 28.26, 48
1 2 -1, 29.12, 36
0 1 3, 31.14, 32
3 0 -2, 38.74, 26
2 1 2, 39.04, 21

Structure:
Cell: 7.1075 6.9589 9.8864 Å, 90.00 106.86 90.00°
Space group Pc (No. 7)
One atom of each set of equivalent atoms:
Si1 0.0000 0.0164 0.0000 [2 per cell]
Si2 0.2220 0.1056 0.2975 [2 per cell]
Si3 0.3488 0.4750 0.4239 [2 per cell]
Si4 0.4087 0.1176 0.6054 [2 per cell]
Si5 0.4929 0.4751 0.2279 [2 per cell]
Si6 0.5798 0.1320 0.9068 [2 per cell]
Si7 0.7653 0.1317 0.2153 [2 per cell]
C1 0.0661 0.2604 0.9489 [2 per cell]
N1 0.1262 0.4033 0.9164 [2 per cell]
N2 0.1941 0.0352 0.6461 [2 per cell]
N3 0.3032 0.3354 0.2761 [2 per cell]
N4 0.3939 0.0042 0.4448 [2 per cell]
N5 0.4013 0.3662 0.5835 [2 per cell]
N6 0.5051 0.3698 0.8753 [2 per cell]
N7 0.6096 0.0544 0.7457 [2 per cell]
N8 0.6754 0.3491 0.2075 [2 per cell]
N9 0.7907 0.0713 0.0433 [2 per cell]
N10 0.9977 0.1012 0.3443 [2 per cell]

***

# 8
Structure and theoretical powder X-ray diffraction pattern of Li2Bi2B2O7 (a cell relaxed with PBE; Cu Kα, 1.54184 Å).

Main lines, by angle (10° ≤ 2θ ≤ 90°):
index, Position (°2θ), I (rel.)
1 1 1, 16.34, 27
0 2 0, 20.15, 40
3 1 0, 20.66, 100
0 0 2, 22.87, 34
0 2 2, 30.66, 40
3 1 -2, 30.87, 50
3 1 2, 31.16, 44
1 3 1, 33.15, 30
6 0 0, 36.51, 14
3 1 -4, 51.39, 19

Structure:
Cell: 14.7753 8.8143 7.7765 Å, 90.00 90.60 90.00°
Space group C2 (No. 5)
One atom of each set of equivalent atoms:
Li1 0.0027 0.0000 0.2457 [4 per cell]
Li2 0.1683 0.4895 0.7741 [4 per cell]
Li3 0.1703 0.4718 0.3083 [4 per cell]
Bi1 0.0000 0.2953 0.0000 [2 per cell]
Bi2 0.0000 0.3917 0.5000 [2 per cell]
Bi3 0.1352 0.8619 0.9966 [4 per cell]
Bi4 0.1584 0.7660 0.4944 [4 per cell]
B1 0.0029 0.6357 0.1989 [4 per cell]
B2 0.1654 0.1588 0.2614 [4 per cell]
B3 0.1701 0.1548 0.7588 [4 per cell]
O1 0.0000 0.9711 0.0000 [2 per cell]
O2 0.0415 0.4916 0.2177 [4 per cell]
O3 0.0483 0.7662 0.2589 [4 per cell]
O4 0.0722 0.1831 0.2631 [4 per cell]
O5 0.0820 0.6466 0.8736 [4 per cell]
O6 0.1210 0.5333 0.5415 [4 per cell]
O7 0.1276 0.0134 0.7546 [4 per cell]
O8 0.1295 0.2828 0.8226 [4 per cell]
O9 0.2009 0.0222 0.2071 [4 per cell]
O10 0.2240 0.2749 0.3137 [4 per cell]
O11 0.2406 0.6589 0.3000 [4 per cell]